Starting from the PBE geometry in Alexandria, the X-ray diffraction stick pattern of NaNiMo2 was simulated for Cu Kα (λ = 1.5418 Å).
Lines closer than 0.1° are merged.

Most intense lines, 2θ = 10–90°, by angle:
hkl 0 0 4, 2θ 17.83, rel. 36; hkl 1 1 2, 2θ 35.74, rel. 100; hkl 0 0 8, 2θ 36.11, rel. 44; hkl 1 1 6, 2θ 44.31, rel. 53; hkl 2 0 4, 2θ 53.18, rel. 53; hkl 1 1 10, 2θ 58.43, rel. 23; hkl 2 0 12, 2θ 77.58, rel. 17; hkl 3 1 2, 2θ 83.90, rel. 15; hkl 2 2 8, 2θ 84.11, rel. 13; hkl 3 1 6, 2θ 89.41, rel. 13

Atomic structure:
a = 3.6718 Å, b = 3.6718 Å, c = 19.9006 Å
α = 90.00°, β = 90.00°, γ = 90.00°
Fractional positions:
Na 0.0000 0.0000 0.0000
Na 0.0000 0.5000 0.2500
Na 0.5000 0.0000 0.7500
Na 0.5000 0.5000 0.5000
Ni 0.0000 0.0000 0.5000
Ni 0.0000 0.5000 0.7500
Ni 0.5000 0.0000 0.2500
Ni 0.5000 0.5000 0.0000
Mo 0.2257 0.2500 0.6250
Mo 0.2500 0.7257 0.8750
Mo 0.2500 0.7743 0.3750
Mo 0.2743 0.2500 0.1250
Mo 0.7257 0.7500 0.1250
Mo 0.7500 0.2257 0.3750
Mo 0.7500 0.2743 0.8750
Mo 0.7743 0.7500 0.6250